[1]
Computed X-ray diffraction stick pattern
Compound: Mg6Si5
Radiation: λ = 1.5418 Å (Cu Kα)
Structure: a structure optimized by DFT (GGA-PBE)

Atomic structure:
```
data_Mg6Si5
_chemical_formula_sum 'Mg12 Si10'
_cell_length_a 4.5099
_cell_length_b 6.8007
_cell_length_c 13.8737
_cell_angle_alpha 90.19
_cell_angle_beta 92.50
_cell_angle_gamma 90.91
_space_group_name_H-M_alt 'P 1'
_space_group_IT_number 1
_space_group_name_Hall 'P 1'
loop_
_atom_site_label
_atom_site_fract_x
_atom_site_fract_y
_atom_site_fract_z
Mg1 0.0000 0.0000 0.0000
Mg2 0.0032 0.4952 0.0620
Mg3 0.0438 0.2938 0.3883
Mg4 0.3192 0.0264 0.7577
Mg5 0.3793 0.4752 0.7286
Mg6 0.4882 0.7390 0.9136
Mg7 0.4940 0.2770 0.9239
Mg8 0.5153 0.1524 0.5422
Mg9 0.5226 0.9874 0.3100
Mg10 0.5406 0.4880 0.2438
Mg11 0.5818 0.5982 0.4644
Mg12 0.8136 0.7843 0.6999
Si1 0.0196 0.8220 0.1875
Si2 0.0213 0.4175 0.5769
Si3 0.0292 0.1877 0.1966
Si4 0.0521 0.6846 0.3439
Si5 0.2781 0.7711 0.5993
Si6 0.5112 0.1721 0.1099
Si7 0.5150 0.8021 0.1085
Si8 0.8414 0.2419 0.7261
Si9 0.9617 0.5032 0.8607
Si10 0.9989 0.9317 0.4686
```

Principal peaks in the range 10 to 90 degrees two-theta, in order of rising 2θ:
two_theta	intensity	index
14.5	31	0 1 1
33.5	75	1 -2 1
34.5	87	-1 1 4
35.0	64	-1 2 2
35.4	70	1 2 -2
35.7	44	1 -1 4
36.1	100	1 2 2
38.9	50	1 0 5
40.0	67	2 0 0
40.3	65	2 0 -1
41.9	48	0 3 -2
43.2	36	1 0 -6


[2]
Computed X-ray diffraction stick pattern
Compound: Al2O3
Radiation: λ = 1.5418 Å (Cu Kα)
Structure: a structure optimized by DFT (GGA-PBE)

Atomic structure:
```
data_Al2O3
_chemical_formula_sum 'Al2 O3'
_cell_length_a 2.8843
_cell_length_b 2.8843
_cell_length_c 9.3368
_cell_angle_alpha 90.00
_cell_angle_beta 90.00
_cell_angle_gamma 120.00
_space_group_name_H-M_alt 'P 1'
_space_group_IT_number 1
_space_group_name_Hall 'P 1'
loop_
_atom_site_label
_atom_site_fract_x
_atom_site_fract_y
_atom_site_fract_z
Al1 0.0000 0.0000 0.1500
Al2 0.0000 0.0000 0.8500
O1 0.3333 0.6667 0.2223
O2 0.3333 0.6667 0.7777
O3 0.6667 0.3333 0.0000
```

Principal peaks in the range 10 to 90 degrees two-theta, in order of rising 2θ:
two_theta	intensity	index
19.0	62	0 0 2
28.7	53	0 0 3
36.0	34	1 0 0
37.3	30	1 0 1
41.0	74	1 0 2
46.6	100	1 0 3
53.7	75	1 0 4
64.6	48	1 1 0
65.5	26	1 1 1
71.4	20	1 0 6
72.2	21	1 1 3
81.9	23	1 0 7